This entry pairs a crystal structure of Mn2V2Cl2O5 with its calculated powder X-ray diffraction pattern. Radiation: Cu Kα (weighted mean of Kα1 and Kα2). Structure: a crystal structure in Alexandria, relaxed with GGA+U.

Atomic structure:
```
data_Mn2V2Cl2O5
_chemical_formula_sum 'Mn4 V4 Cl4 O10'
_symmetry_space_group_name_H-M 'I 4/m m m'
_symmetry_Int_Tables_number 139
_symmetry_space_group_name_Hall '-I 4 2'
_cell_length_a 3.7255
_cell_length_b 3.7255
_cell_length_c 25.1052
_cell_angle_alpha 90.00
_cell_angle_beta 90.00
_cell_angle_gamma 90.00
loop_
_atom_site_label
_atom_site_fract_x
_atom_site_fract_y
_atom_site_fract_z
Mn1 0.0000 0.0000 0.1413
V1 0.0000 0.0000 0.4292
Cl1 0.0000 0.0000 0.3100
O1 0.0000 0.0000 0.5000
O2 0.0000 0.5000 0.0901
```

The 10 most intense peaks (5 to 70 degrees two-theta), in order of rising 2θ:
- 2θ 7.0, d 12.553, I 247
- 2θ 14.1, d 6.276, I 985
- 2θ 24.2, d 3.685, I 213
- 2θ 26.2, d 3.403, I 222
- 2θ 34.0, d 2.634, I 541
- 2θ 34.7, d 2.584, I 1000
- 2θ 46.7, d 1.946, I 299
- 2θ 48.9, d 1.863, I 419
- 2θ 61.4, d 1.511, I 331
- 2θ 69.9, d 1.346, I 155